# Li2CuBr4
Simulated powder XRD pattern, a wavelength of 1.5418 Å. Input: a DFT-relaxed cell (PBE, Alexandria).
Lines closer than 0.1° are merged.

Structure:
```
Li2CuBr4
1.0
6.8019 0.0000 0.0000
0.0000 6.8019 0.0000
0.0000 0.0000 4.8359
Li Cu Br
2 1 4
Cartesian
0.0000 3.4009 0.0000
3.4009 0.0000 0.0000
0.0000 0.0000 0.0000
1.5846 1.5846 3.9343
1.5846 5.2173 0.9016
5.2173 1.5846 0.9016
5.2173 5.2173 3.9343
```

Top 8 peaks for 10° ≤ 2θ ≤ 90°, low angle first:
2θ = 13.02°, intensity 226; 2θ = 18.35°, intensity 210; 2θ = 26.15°, intensity 1000; 2θ = 37.40°, intensity 241; 2θ = 41.81°, intensity 129; 2θ = 46.06°, intensity 156; 2θ = 46.19°, intensity 283; 2θ = 73.62°, intensity 124

# Li4CuBr6
Simulated powder XRD pattern, a wavelength of 1.5418 Å. Input: a DFT-relaxed cell (PBE, Alexandria).
Lines closer than 0.1° are merged.

Structure:
```
Li4CuBr6
1.0
6.1765 -3.8916 0.0000
6.1765 3.8916 0.0000
-3.4096 0.0000 12.5677
Li Cu Br
8 2 12
Cartesian
4.4717 3.6292 6.2838
1.0839 0.7273 12.2222
5.2834 1.7296 10.5138
2.7887 -0.7273 5.9383
9.7262 0.9758 2.2165
6.9882 -1.7296 4.2299
8.0214 -0.9758 8.5004
6.1765 -3.6292 0.0000
6.4551 2.2505 3.0656
4.7502 -2.2505 9.3495
4.5468 2.4690 1.6449
2.4957 1.8504 6.1972
1.3878 0.3786 2.4179
2.7529 2.1407 10.8069
-0.3170 -0.3786 8.7017
6.5927 2.2452 5.4292
0.7909 -1.8504 12.4810
7.3141 0.0913 2.4325
5.6093 -0.0913 8.7163
2.8420 -2.4690 7.9288
4.4577 -2.1407 4.5230
4.8879 -2.2452 11.7131
```

Top 8 peaks for 10° ≤ 2θ ≤ 90°, low angle first:
2θ = 23.10°, intensity 431; 2θ = 23.54°, intensity 490; 2θ = 24.49°, intensity 712; 2θ = 26.93°, intensity 914; 2θ = 27.34°, intensity 509; 2θ = 28.42°, intensity 663; 2θ = 29.00°, intensity 1000; 2θ = 47.24°, intensity 405

# Na2LiCuBr5
Simulated powder XRD pattern, a wavelength of 1.5418 Å. Input: a DFT-relaxed cell (PBE, Alexandria).
Lines closer than 0.1° are merged.

Structure:
```
Na2LiCuBr5
1.0
1.9714 -10.2506 0.0000
1.9714 10.2506 0.0000
0.0000 0.0000 12.2599
Na Li Cu Br
4 2 2 10
Cartesian
1.9714 7.5804 6.1300
1.9714 6.9143 10.4599
1.9714 -6.9143 4.3299
1.9714 -7.5804 0.0000
1.9714 5.9611 2.4841
1.9714 -5.9611 8.6140
1.9714 1.1316 7.3445
1.9714 -1.1316 1.2145
1.9714 9.5161 2.5181
1.9714 3.9945 10.3551
1.9714 3.4827 6.6136
1.9714 3.3795 2.1798
1.9714 0.3068 11.6046
1.9714 -0.3068 5.4746
1.9714 -3.3795 8.3097
1.9714 -3.4827 0.4836
1.9714 -3.9945 4.2252
1.9714 -9.5161 8.6480
```

Top 8 peaks for 10° ≤ 2θ ≤ 90°, low angle first:
2θ = 26.08°, intensity 669; 2θ = 27.09°, intensity 493; 2θ = 27.24°, intensity 387; 2θ = 27.92°, intensity 637; 2θ = 29.95°, intensity 511; 2θ = 31.84°, intensity 1000; 2θ = 44.46°, intensity 486; 2θ = 52.16°, intensity 401

# Sr2LiCuBrO2
Simulated powder XRD pattern, a wavelength of 1.5418 Å. Input: a DFT-relaxed cell (PBE, Alexandria).
Lines closer than 0.1° are merged.

Structure:
```
Sr2LiCuBrO2
1.0
2.0333 1.1739 10.0166
-2.0333 1.1739 10.0166
0.0000 -2.3478 10.0166
Sr Li Cu Br O
2 1 1 1 2
Cartesian
0.0000 0.0000 0.0000
0.0000 0.0000 14.7039
0.0000 0.0000 18.0106
0.0000 0.0000 7.1009
0.0000 0.0000 22.2053
0.0000 0.0000 5.2266
0.0000 0.0000 9.0804
```

Top 8 peaks for 10° ≤ 2θ ≤ 90°, low angle first:
2θ = 27.98°, intensity 1000; 2θ = 34.92°, intensity 448; 2θ = 35.86°, intensity 157; 2θ = 44.56°, intensity 358; 2θ = 53.44°, intensity 159; 2θ = 55.45°, intensity 133; 2θ = 58.47°, intensity 229; 2θ = 72.06°, intensity 128

# Rb3LiCu2Br8
Simulated powder XRD pattern, a wavelength of 1.5418 Å. Input: a DFT-relaxed cell (PBE, Alexandria).
Lines closer than 0.1° are merged.

Structure:
```
Rb3LiCu2Br8
1.0
7.4545 0.0000 0.0000
-3.7272 6.4557 0.0000
0.0000 0.0000 9.8034
Rb Li Cu Br
3 1 2 8
Cartesian
0.0000 0.0000 0.0000
0.0000 4.3038 6.1554
3.7272 2.1519 3.6480
0.0000 0.0000 4.9017
0.0000 4.3038 2.1051
3.7272 2.1519 7.6983
0.0000 2.1075 3.1423
-1.9020 5.4020 3.1423
1.8252 1.0538 6.6611
0.0000 4.3038 9.5679
3.7272 2.1519 0.2354
1.9020 5.4020 3.1423
5.6293 1.0538 6.6611
3.7272 4.3482 6.6611
```

Top 8 peaks for 10° ≤ 2θ ≤ 90°, low angle first:
2θ = 23.87°, intensity 657; 2θ = 27.29°, intensity 540; 2θ = 27.64°, intensity 428; 2θ = 29.13°, intensity 873; 2θ = 33.23°, intensity 1000; 2θ = 46.50°, intensity 712; 2θ = 48.87°, intensity 621; 2θ = 56.88°, intensity 416

# MgCuBrN2
Simulated powder XRD pattern, a wavelength of 1.5418 Å. Input: a DFT-relaxed cell (PBE, Alexandria).
Lines closer than 0.1° are merged.

Structure:
```
MgCuBrN2
1.0
3.7915 0.0000 0.0000
0.0000 3.7915 0.0000
0.0000 0.0000 5.6408
Mg Cu Br N
1 1 1 2
Cartesian
0.0000 0.0000 0.0000
1.8958 1.8958 2.8204
1.8958 1.8958 0.0000
0.0000 1.8958 2.8204
1.8958 0.0000 2.8204
```

Top 8 peaks for 10° ≤ 2θ ≤ 90°, low angle first:
2θ = 23.46°, intensity 1000; 2θ = 31.73°, intensity 617; 2θ = 33.42°, intensity 568; 2θ = 39.84°, intensity 488; 2θ = 46.75°, intensity 450; 2θ = 47.99°, intensity 358; 2θ = 58.68°, intensity 373; 2θ = 64.08°, intensity 226

# RbMg3Cu4Br12
Simulated powder XRD pattern, a wavelength of 1.5418 Å. Input: a DFT-relaxed cell (PBE, Alexandria).
Lines closer than 0.1° are merged.

Structure:
```
RbMg3Cu4Br12
1.0
7.1593 4.1334 3.4538
-7.1593 4.1334 3.4538
0.0000 -8.2668 3.4538
Rb Mg Cu Br
1 3 4 12
Cartesian
0.0000 0.0000 0.0000
-4.0686 -1.2198 3.4538
-4.0686 1.2198 6.9076
0.9779 4.1334 3.4538
-2.9936 -5.1851 5.1807
0.0000 0.0000 5.1807
-2.9936 5.1851 5.1807
5.9873 0.0000 5.1807
-4.4657 -3.4054 4.9000
-5.8721 0.0000 5.1807
-0.7163 -5.5701 5.4614
-2.3811 0.0000 5.1807
-4.4657 3.4054 5.4614
2.9361 -5.0854 5.1807
1.1906 -2.0621 5.1807
-0.7163 5.5701 4.9000
1.1906 2.0621 5.1807
5.1820 -2.1647 4.9000
2.9361 5.0854 5.1807
5.1820 2.1647 5.4614
```

Top 8 peaks for 10° ≤ 2θ ≤ 90°, low angle first:
2θ = 20.80°, intensity 395; 2θ = 22.36°, intensity 674; 2θ = 25.63°, intensity 609; 2θ = 25.80°, intensity 810; 2θ = 27.32°, intensity 1000; 2θ = 31.22°, intensity 666; 2θ = 40.32°, intensity 374; 2θ = 51.00°, intensity 406

# NaMn2CuBr8
Simulated powder XRD pattern, a wavelength of 1.5418 Å. Input: a DFT-relaxed cell (PBE, Alexandria).
Lines closer than 0.1° are merged.

Structure:
```
NaMn2CuBr8
1.0
6.9548 0.0000 0.0000
-3.4774 6.0230 0.0000
0.0000 0.0000 8.8741
Na Mn Cu Br
1 2 1 8
Cartesian
0.0000 0.0000 0.0000
0.0000 4.0153 6.5798
3.4774 2.0077 2.2943
0.0000 0.0000 4.4370
-0.9387 1.8416 6.0047
-1.4131 5.9151 6.0047
1.1256 1.7337 2.8694
0.0000 4.0153 0.0698
3.4774 2.0077 8.8043
2.3518 4.2892 6.0047
4.8905 0.1079 2.8694
4.4161 4.1814 2.8694
```

Top 8 peaks for 10° ≤ 2θ ≤ 90°, low angle first:
2θ = 17.80°, intensity 605; 2θ = 27.55°, intensity 1000; 2θ = 30.21°, intensity 286; 2θ = 32.72°, intensity 658; 2θ = 40.93°, intensity 163; 2θ = 45.16°, intensity 428; 2θ = 48.69°, intensity 375; 2θ = 55.30°, intensity 220

Question: Number 5 is which compound?
Answer: Rb3LiCu2Br8